1.
Starting from the PBE geometry in the Materials Project, the powder X-ray diffraction pattern of Sr16Cu8O23 was simulated for Cu Kα (weighted mean of Kα1 and Kα2).
Intensities are scaled so that the largest is 100.

The 8 most intense peaks (2θ from 5° to 70°), in order of rising 2θ:
30.85 deg, intensity 62.7, (2 0 1); 32.97 deg, intensity 71.0, (2 0 -3); 33.80 deg, intensity 100.0, (0 0 4); 42.86 deg, intensity 21.1, (3 -3 0); 45.49 deg, intensity 25.4, (1 3 2); 55.66 deg, intensity 29.2, (3 -3 4); 57.32 deg, intensity 21.6, (2 0 5); 61.22 deg, intensity 18.7, (2 0 -7)

Atomic structure:
a = 6.8725 Å, b = 10.2055 Å, c = 11.3748 Å
α = 106.44°, β = 98.09°, γ = 105.44°
Space group P-1 (No. 2)
One atom of each set of equivalent atoms:
Sr: 0.0308 0.2407 0.3753
Sr: 0.0944 0.8870 0.3769
Sr: 0.1557 0.3644 0.1245
Sr: 0.2073 0.0097 0.1288
Sr: 0.2804 0.4907 0.8748
Sr: 0.3414 0.1407 0.8710
Sr: 0.4054 0.6146 0.6255
Sr: 0.4666 0.2598 0.6237
Cu: 0.0660 0.5648 0.3758
Cu: 0.1876 0.6868 0.1245
Cu: 0.3207 0.8201 0.8795
Cu: 0.4381 0.9370 0.6266
O: 0.0000 0.5000 0.0000
O: 0.0485 0.2366 0.8750
O: 0.1029 0.9021 0.8846
O: 0.1168 0.6175 0.7461
O: 0.1668 0.3564 0.6222
O: 0.2032 0.0148 0.6247
O: 0.2499 0.7486 0.4997
O: 0.3005 0.4871 0.3761
O: 0.3268 0.1414 0.3739
O: 0.3738 0.8745 0.2471
O: 0.4202 0.6062 0.1250
O: 0.4466 0.2469 0.1155

2.
Starting from the PBE geometry in the Materials Project, the powder X-ray diffraction pattern of Pr21Fe8Bi7C12 was simulated for Cu Kα (weighted mean of Kα1 and Kα2).
Intensities are scaled so that the largest is 100.

The 8 most intense peaks (2θ from 5° to 70°), in order of rising 2θ:
28.34 deg, intensity 100.0, (3 3 3); 30.91 deg, intensity 46.4, (4 4 0); 32.37 deg, intensity 45.8, (5 3 1); 32.84 deg, intensity 77.7, (6 0 0); 42.43 deg, intensity 37.2, (5 5 3); 47.13 deg, intensity 31.9, (6 6 0); 55.91 deg, intensity 19.4, (9 3 3); 58.33 deg, intensity 23.0, (7 7 3)

Atomic structure:
a = 16.3636 Å, b = 16.3636 Å, c = 16.3636 Å
α = 90.00°, β = 90.00°, γ = 90.00°
Space group Fm-3m (No. 225)
One atom of each set of equivalent atoms:
Pr: 0.0000 0.0000 0.0000
Pr: 0.0000 0.1712 0.3288
Pr: 0.1369 0.1369 0.1369
Fe: 0.1957 0.1957 0.3043
Bi: 0.0000 0.0000 0.2105
Bi: 0.0000 0.0000 0.5000
C: 0.1087 0.2500 0.2500

3.
Starting from the PBE geometry in the Materials Project, the powder X-ray diffraction pattern of GdSi2Pt2 was simulated for Cu Kα (weighted mean of Kα1 and Kα2).
Intensities are scaled so that the largest is 100.

The 8 most intense peaks (2θ from 5° to 70°), in order of rising 2θ:
17.87 deg, intensity 22.0, (0 0 2); 22.95 deg, intensity 12.3, (1 0 1); 34.47 deg, intensity 13.0, (1 0 3); 35.15 deg, intensity 100.0, (1 1 2); 36.19 deg, intensity 18.2, (0 0 4); 42.97 deg, intensity 34.6, (2 0 0); 57.40 deg, intensity 19.7, (2 0 4); 64.43 deg, intensity 16.4, (1 1 6)

Atomic structure:
a = 4.2098 Å, b = 4.2098 Å, c = 9.9270 Å
α = 90.00°, β = 90.00°, γ = 90.00°
Space group I4/mmm (No. 139)
One atom of each set of equivalent atoms:
Gd: 0.0000 0.0000 0.0000
Si: 0.0000 0.0000 0.3812
Pt: 0.0000 0.5000 0.2500

4.
Starting from the PBE geometry in the Materials Project, the powder X-ray diffraction pattern of NaScSi2O6 was simulated for Cu Kα (weighted mean of Kα1 and Kα2).
Intensities are scaled so that the largest is 100.

The 8 most intense peaks (2θ from 5° to 70°), in order of rising 2θ:
19.43 deg, intensity 26.8, (0 2 0); 28.88 deg, intensity 100.0, (2 2 -1); 29.78 deg, intensity 48.1, (3 1 0); 34.72 deg, intensity 36.7, (0 0 2); 35.19 deg, intensity 31.0, (2 2 1); 41.07 deg, intensity 17.9, (3 3 -1); 43.21 deg, intensity 19.8, (4 0 -2); 54.70 deg, intensity 16.9, (2 2 -3)

Atomic structure:
a = 9.9986 Å, b = 9.1545 Å, c = 5.4213 Å
α = 90.00°, β = 107.61°, γ = 90.00°
Space group C2/c (No. 15)
One atom of each set of equivalent atoms:
Na: 0.0000 0.1997 0.2500
Sc: 0.0000 0.3944 0.7500
Si: 0.2096 0.0867 0.7552
O: 0.1182 0.4212 0.1455
O: 0.1396 0.2468 0.6960
O: 0.1508 0.0040 0.9758

5.
Starting from the PBE geometry in the Materials Project, the powder X-ray diffraction pattern of Ho3CuSiSe7 was simulated for Cu Kα (weighted mean of Kα1 and Kα2).
Intensities are scaled so that the largest is 100.

The 8 most intense peaks (2θ from 5° to 70°), in order of rising 2θ:
24.82 deg, intensity 64.1, (2 0 1); 30.36 deg, intensity 70.2, (1 2 1); 31.30 deg, intensity 73.3, (1 0 2); 34.82 deg, intensity 100.0, (2 2 0); 35.93 deg, intensity 61.5, (2 0 2); 36.29 deg, intensity 83.4, (1 3 0); 39.34 deg, intensity 60.1, (3 1 1); 40.10 deg, intensity 71.2, (1 2 2)

Atomic structure:
a = 10.3060 Å, b = 10.3060 Å, c = 6.0334 Å
α = 90.00°, β = 90.00°, γ = 120.00°
Space group P6_3 (No. 173)
One atom of each set of equivalent atoms:
Ho: 0.1341 0.3562 0.0000
Cu: 0.0000 0.0000 0.4482
Si: 0.3333 0.6667 0.5903
Se: 0.0993 0.5779 0.7450
Se: 0.1010 0.2624 0.4651
Se: 0.3333 0.6667 0.2126

6.
Starting from the PBE geometry in the Materials Project, the powder X-ray diffraction pattern of Mo2WSe6 was simulated for Cu Kα (weighted mean of Kα1 and Kα2).
Intensities are scaled so that the largest is 100.

The 8 most intense peaks (2θ from 5° to 70°), in order of rising 2θ:
5.76 deg, intensity 100.0, (0 0 2); 11.54 deg, intensity 54.2, (0 0 4); 31.05 deg, intensity 15.2, (1 0 0); 35.78 deg, intensity 21.5, (1 0 6); 37.36 deg, intensity 26.6, (0 1 7); 43.08 deg, intensity 11.8, (1 0 10); 45.26 deg, intensity 23.8, (0 1 11); 55.26 deg, intensity 14.9, (1 1 0)

Atomic structure:
a = 3.3259 Å, b = 3.3259 Å, c = 30.6814 Å
α = 90.00°, β = 90.00°, γ = 120.00°
Space group P3m1 (No. 156)
One atom of each set of equivalent atoms:
Mo: 0.0000 0.0000 0.0000
Mo: 0.3333 0.6667 0.2314
W: 0.0000 0.0000 0.4627
Se: 0.0000 0.0000 0.1769
Se: 0.0000 0.0000 0.2858
Se: 0.3333 0.6667 0.0545
Se: 0.3333 0.6667 0.4079
Se: 0.3333 0.6667 0.5175
Se: 0.3333 0.6667 0.9455